1.
Diffraction record for Ti4TeH. The XRD peak list is calculated, not measured: it uses a crystal structure in Alexandria, relaxed with PBE and Cu Ka.
Kinematic intensities with the Lorentz-polarization factor, no thermal factor.

Structure:
abc: 5.112 5.252 7.500
angles: 69.67 81.89 89.31
Element x y z (fractional)
Ti 0.187 0.174 0.413
Ti 0.197 0.716 0.214
Ti 0.290 0.933 0.784
Ti 0.312 0.577 0.590
Ti 0.688 0.423 0.410
Ti 0.710 0.067 0.216
Ti 0.803 0.284 0.786
Ti 0.813 0.826 0.587
Te 0.254 0.282 0.002
Te 0.746 0.718 0.998
H 0.000 0.500 0.500
H 0.500 0.000 0.500

Most intense lines, 2θ from 5° to 70°, sorted by position:
- 12.72 deg, intensity 35
- 34.15 deg, intensity 28
- 35.50 deg, intensity 63
- 36.50 deg, intensity 26
- 36.63 deg, intensity 28
- 38.43 deg, intensity 32
- 38.59 deg, intensity 100
- 38.84 deg, intensity 33
- 42.77 deg, intensity 33
- 43.08 deg, intensity 33

2.
Diffraction record for NdSnGe4. The XRD peak list is calculated, not measured: it uses a crystal structure in Alexandria, relaxed with PBE and Cu Ka.
Kinematic intensities with the Lorentz-polarization factor, no thermal factor.

Structure:
abc: 5.699 5.699 5.699
angles: 60.00 60.00 60.00
Element x y z (fractional)
Nd 0.000 0.000 0.000
Sn 0.750 0.750 0.750
Ge 0.376 0.376 0.376
Ge 0.376 0.376 0.872
Ge 0.376 0.872 0.376
Ge 0.872 0.376 0.376

Most intense lines, 2θ from 5° to 70°, sorted by position:
- 19.07 deg, intensity 2
- 22.06 deg, intensity 1
- 31.39 deg, intensity 48
- 36.99 deg, intensity 100
- 38.70 deg, intensity 23
- 49.28 deg, intensity 1
- 55.88 deg, intensity 19
- 59.60 deg, intensity 33
- 65.51 deg, intensity 26
- 68.92 deg, intensity 1